Entry 1:
The following is a simulated powder X-ray diffraction pattern of USeI3. It was derived from a PBE-relaxed structure, using Cu Kα, 1.54184 Å.
Lines closer than 0.1° are merged.

Most intense lines, 10 to 80 degrees two-theta, in order of rising 2θ:
| 2θ/deg | I (rel.) |
| --- | --- |
| 10.94 | 100 |
| 11.20 | 84 |
| 12.68 | 43 |
| 24.80 | 32 |
| 24.85 | 38 |
| 30.20 | 43 |
| 32.75 | 33 |
| 34.02 | 31 |
| 35.20 | 36 |
| 37.85 | 37 |

Structural model:
a = 8.139 Å, b = 7.898 Å, c = 15.005 Å
α = 90.00°, β = 96.65°, γ = 90.00°
Atoms (fractional coordinates):
1 U 0.077 0.111 0.141
2 U 0.077 0.889 0.641
3 U 0.923 0.111 0.359
4 U 0.923 0.889 0.859
5 Se 0.135 0.357 0.288
6 Se 0.135 0.643 0.788
7 Se 0.865 0.357 0.212
8 Se 0.865 0.643 0.712
9 I 0.136 0.218 0.534
10 I 0.136 0.782 0.034
11 I 0.233 0.094 0.803
12 I 0.233 0.906 0.303
13 I 0.373 0.260 0.081
14 I 0.373 0.740 0.581
15 I 0.627 0.260 0.419
16 I 0.627 0.740 0.919
17 I 0.767 0.094 0.697
18 I 0.767 0.906 0.197
19 I 0.864 0.218 0.966
20 I 0.864 0.782 0.466


Entry 2:
The following is a simulated powder X-ray diffraction pattern of Ba7Sn2Bi2. It was derived from a PBE-relaxed structure, using Cu Kα, 1.54184 Å.
Lines closer than 0.1° are merged.

Most intense lines, 10 to 80 degrees two-theta, in order of rising 2θ:
| 2θ/deg | I (rel.) |
| --- | --- |
| 17.58 | 24 |
| 19.02 | 61 |
| 23.69 | 25 |
| 28.31 | 41 |
| 30.11 | 100 |
| 31.92 | 31 |
| 34.33 | 26 |
| 43.19 | 27 |
| 51.25 | 20 |
| 55.76 | 19 |

Structural model:
a = 8.438 Å, b = 8.438 Å, c = 8.410 Å
α = 90.00°, β = 90.00°, γ = 96.70°
Atoms (fractional coordinates):
1 Ba 0.000 0.000 0.000
2 Ba 0.000 0.500 0.260
3 Ba 0.000 0.500 0.740
4 Ba 0.500 0.000 0.260
5 Ba 0.500 0.000 0.740
6 Ba 0.500 0.500 0.247
7 Ba 0.500 0.500 0.753
8 Sn 0.273 0.727 0.000
9 Sn 0.727 0.273 0.000
10 Bi 0.240 0.240 0.500
11 Bi 0.760 0.760 0.500


Entry 3:
The following is a simulated powder X-ray diffraction pattern of Pr6In2Pb. It was derived from a PBE-relaxed structure, using Cu Kα, 1.54184 Å.
Lines closer than 0.1° are merged.

Most intense lines, 10 to 80 degrees two-theta, in order of rising 2θ:
| 2θ/deg | I (rel.) |
| --- | --- |
| 30.57 | 100 |
| 31.75 | 13 |
| 33.93 | 22 |
| 36.17 | 25 |
| 46.35 | 8 |
| 50.44 | 20 |
| 58.06 | 7 |
| 58.63 | 15 |
| 61.61 | 12 |
| 63.63 | 7 |

Structural model:
a = 10.531 Å, b = 10.539 Å, c = 5.285 Å
α = 90.00°, β = 90.00°, γ = 90.00°
Atoms (fractional coordinates):
1 Pr 0.014 0.178 0.000
2 Pr 0.131 0.630 0.500
3 Pr 0.178 0.984 0.500
4 Pr 0.322 0.484 0.000
5 Pr 0.369 0.130 0.000
6 Pr 0.486 0.678 0.500
7 Pr 0.514 0.322 0.500
8 Pr 0.631 0.870 0.000
9 Pr 0.678 0.516 0.000
10 Pr 0.822 0.016 0.500
11 Pr 0.869 0.370 0.500
12 Pr 0.986 0.822 0.000
13 In 0.197 0.301 0.500
14 In 0.303 0.801 0.000
15 In 0.697 0.199 0.000
16 In 0.803 0.699 0.500
17 Pb 0.000 0.500 0.000
18 Pb 0.500 0.000 0.500